No. 1
Pr2Y2Se2S3: calculated powder diffraction line list (copper Kα), based on a cell relaxed with PBE.
No peak broadening, texture or thermal motion is included.

Peak list (10 most intense, 2θ from 15° to 90°, low angle first)
| 2theta | intensity |
| --- | --- |
| 23.22 | 19 |
| 24.00 | 14 |
| 26.03 | 38 |
| 33.08 | 100 |
| 33.72 | 65 |
| 47.46 | 28 |
| 47.95 | 48 |
| 69.77 | 15 |
| 79.04 | 14 |
| 79.42 | 15 |

Crystal structure
a b c (Å): 8.534 8.534 8.534
angles (deg): 142.98 142.98 53.35
Sites, in units of the cell vectors:
Pr 0.200 0.200 0.000
Pr 0.800 0.800 0.000
Y 0.000 0.500 0.500
Y 0.500 0.000 0.500
Se 0.399 0.399 0.000
Se 0.601 0.601 0.000
S 0.000 0.000 0.000
S 0.250 0.750 0.500
S 0.750 0.250 0.500

***

No. 2
Pr6ZnSe3S2: calculated powder diffraction line list (copper Kα), based on a cell relaxed with PBE.
No peak broadening, texture or thermal motion is included.

Peak list (10 most intense, 2θ from 15° to 90°, low angle first)
| 2theta | intensity |
| --- | --- |
| 25.58 | 7 |
| 25.91 | 21 |
| 29.91 | 100 |
| 42.60 | 37 |
| 43.02 | 37 |
| 53.32 | 13 |
| 62.15 | 12 |
| 70.22 | 11 |
| 70.76 | 11 |
| 78.62 | 8 |

Crystal structure
a b c (Å): 7.280 7.280 7.373
angles (deg): 99.46 99.46 119.91
Sites, in units of the cell vectors:
Pr 0.080 0.420 0.759
Pr 0.240 0.240 0.238
Pr 0.420 0.080 0.759
Pr 0.580 0.920 0.241
Pr 0.760 0.760 0.762
Pr 0.920 0.580 0.241
Zn 0.500 0.500 0.000
Se 0.000 0.000 0.500
Se 0.335 0.665 0.500
Se 0.665 0.335 0.500
S 0.166 0.834 0.000
S 0.834 0.166 0.000